No. 1
Computed powder diffractogram of LiNd2Os for Cu Kα (λ = 1.5418 Å), from a crystal structure in the Materials Project, relaxed with PBE.
Lines closer than 0.1° are merged.

Crystal structure
Cell lengths 7.1535, 7.1535, 7.1535 Å; angles 90.00, 90.00, 90.00 degrees
Fractional coordinates of all 16 atoms:
Li 0.0000 0.0000 0.0000
Li 0.0000 0.5000 0.5000
Li 0.5000 0.0000 0.5000
Li 0.5000 0.5000 0.0000
Nd 0.2500 0.2500 0.2500
Nd 0.2500 0.2500 0.7500
Nd 0.2500 0.7500 0.2500
Nd 0.2500 0.7500 0.7500
Nd 0.7500 0.2500 0.2500
Nd 0.7500 0.2500 0.7500
Nd 0.7500 0.7500 0.2500
Nd 0.7500 0.7500 0.7500
Os 0.0000 0.0000 0.5000
Os 0.0000 0.5000 0.0000
Os 0.5000 0.0000 0.0000
Os 0.5000 0.5000 0.5000

The 10 most intense peaks (15 to 90 degrees two-theta), low angle first:
| d/Å | intensity |
| --- | --- |
| 4.130 | 33 |
| 2.529 | 100 |
| 2.157 | 18 |
| 1.788 | 18 |
| 1.641 | 8 |
| 1.460 | 37 |
| 1.377 | 6 |
| 1.265 | 11 |
| 1.209 | 6 |
| 1.131 | 16 |

---

No. 2
Computed powder diffractogram of LiNd2Rh for Cu Kα (λ = 1.5418 Å), from a crystal structure in the Materials Project, relaxed with PBE.
Lines closer than 0.1° are merged.

Crystal structure
Cell lengths 7.2407, 7.2407, 7.2407 Å; angles 90.00, 90.00, 90.00 degrees
Fractional coordinates of all 16 atoms:
Li 0.0000 0.0000 0.0000
Li 0.0000 0.5000 0.5000
Li 0.5000 0.0000 0.5000
Li 0.5000 0.5000 0.0000
Nd 0.2500 0.2500 0.2500
Nd 0.2500 0.2500 0.7500
Nd 0.2500 0.7500 0.2500
Nd 0.2500 0.7500 0.7500
Nd 0.7500 0.2500 0.2500
Nd 0.7500 0.2500 0.7500
Nd 0.7500 0.7500 0.2500
Nd 0.7500 0.7500 0.7500
Rh 0.0000 0.0000 0.5000
Rh 0.0000 0.5000 0.0000
Rh 0.5000 0.0000 0.0000
Rh 0.5000 0.5000 0.5000

The 10 most intense peaks (15 to 90 degrees two-theta), low angle first:
| d/Å | intensity |
| --- | --- |
| 4.180 | 15 |
| 3.620 | 24 |
| 2.560 | 100 |
| 2.183 | 8 |
| 2.090 | 7 |
| 1.810 | 18 |
| 1.619 | 10 |
| 1.478 | 36 |
| 1.280 | 11 |
| 1.145 | 16 |

---

No. 3
Computed powder diffractogram of LiNd2Ru for Cu Kα (λ = 1.5418 Å), from a crystal structure in the Materials Project, relaxed with PBE.
Lines closer than 0.1° are merged.

Crystal structure
Cell lengths 7.1477, 7.1477, 7.1477 Å; angles 90.00, 90.00, 90.00 degrees
Fractional coordinates of all 16 atoms:
Li 0.0000 0.0000 0.0000
Li 0.0000 0.5000 0.5000
Li 0.5000 0.0000 0.5000
Li 0.5000 0.5000 0.0000
Nd 0.2500 0.2500 0.2500
Nd 0.2500 0.2500 0.7500
Nd 0.2500 0.7500 0.2500
Nd 0.2500 0.7500 0.7500
Nd 0.7500 0.2500 0.2500
Nd 0.7500 0.2500 0.7500
Nd 0.7500 0.7500 0.2500
Nd 0.7500 0.7500 0.7500
Ru 0.0000 0.0000 0.5000
Ru 0.0000 0.5000 0.0000
Ru 0.5000 0.0000 0.0000
Ru 0.5000 0.5000 0.5000

The 10 most intense peaks (15 to 90 degrees two-theta), low angle first:
| d/Å | intensity |
| --- | --- |
| 4.127 | 15 |
| 3.574 | 26 |
| 2.527 | 100 |
| 2.155 | 8 |
| 2.063 | 8 |
| 1.787 | 18 |
| 1.598 | 10 |
| 1.459 | 36 |
| 1.264 | 11 |
| 1.130 | 16 |

---

No. 4
Computed powder diffractogram of Li3NdSb2 for Cu Kα (λ = 1.5418 Å), from a crystal structure in the Materials Project, relaxed with PBE.
Lines closer than 0.1° are merged.

Crystal structure
Cell lengths 4.6154, 4.6154, 7.3411 Å; angles 90.00, 90.00, 120.00 degrees
Fractional coordinates of all 6 atoms:
Li 0.0000 0.0000 0.0000
Li 0.3333 0.6667 0.8522
Li 0.6667 0.3333 0.1478
Nd 0.0000 0.0000 0.5000
Sb 0.3333 0.6667 0.2456
Sb 0.6667 0.3333 0.7544

The 10 most intense peaks (15 to 90 degrees two-theta), low angle first:
| d/Å | intensity |
| --- | --- |
| 3.510 | 100 |
| 2.704 | 60 |
| 2.308 | 42 |
| 2.087 | 23 |
| 1.928 | 19 |
| 1.755 | 16 |
| 1.480 | 16 |
| 1.436 | 16 |
| 1.397 | 15 |
| 1.285 | 9 |

---

No. 5
Computed powder diffractogram of Li2NdSb2 for Cu Kα (λ = 1.5418 Å), from a crystal structure in the Materials Project, relaxed with PBE.
Lines closer than 0.1° are merged.

Crystal structure
Cell lengths 4.6010, 4.6010, 11.1147 Å; angles 90.00, 90.00, 90.00 degrees
Fractional coordinates of all 10 atoms:
Li 0.2500 0.2500 0.1225
Li 0.2500 0.7500 0.5000
Li 0.7500 0.2500 0.5000
Li 0.7500 0.7500 0.8775
Nd 0.2500 0.2500 0.7699
Nd 0.7500 0.7500 0.2301
Sb 0.2500 0.2500 0.3513
Sb 0.2500 0.7500 0.0000
Sb 0.7500 0.2500 0.0000
Sb 0.7500 0.7500 0.6487

The 10 most intense peaks (15 to 90 degrees two-theta), low angle first:
| d/Å | intensity |
| --- | --- |
| 3.705 | 17 |
| 3.544 | 43 |
| 3.122 | 40 |
| 2.886 | 38 |
| 2.808 | 100 |
| 2.300 | 49 |
| 2.002 | 24 |
| 1.799 | 19 |
| 1.510 | 19 |
| 1.408 | 24 |

---

No. 6
Computed powder diffractogram of Li3Nd2Sb3 for Cu Kα (λ = 1.5418 Å), from a crystal structure in the Materials Project, relaxed with PBE.
Lines closer than 0.1° are merged.

Crystal structure
Cell lengths 3.2194, 3.2194, 23.4766 Å; angles 90.00, 90.00, 90.00 degrees
Fractional coordinates of all 8 atoms:
Li 0.0000 0.0000 0.0000
Li 0.0000 0.0000 0.3817
Li 0.0000 0.0000 0.6183
Nd 0.0000 0.0000 0.2409
Nd 0.0000 0.0000 0.7591
Sb 0.0000 0.0000 0.1116
Sb 0.0000 0.0000 0.5000
Sb 0.0000 0.0000 0.8884

The 10 most intense peaks (15 to 90 degrees two-theta), low angle first:
| d/Å | intensity |
| --- | --- |
| 4.695 | 18 |
| 3.219 | 100 |
| 2.977 | 29 |
| 2.935 | 30 |
| 2.655 | 17 |
| 2.276 | 38 |
| 2.169 | 51 |
| 1.799 | 28 |
| 1.440 | 18 |
| 1.293 | 19 |

---

No. 7
Computed powder diffractogram of LiNdSe2 for Cu Kα (λ = 1.5418 Å), from a crystal structure in the Materials Project, relaxed with PBE.
Lines closer than 0.1° are merged.

Crystal structure
Cell lengths 5.8782, 5.8782, 11.8194 Å; angles 90.00, 90.00, 90.00 degrees
Fractional coordinates of all 16 atoms:
Li 0.0000 0.2500 0.3750
Li 0.0000 0.7500 0.6250
Li 0.5000 0.2500 0.1250
Li 0.5000 0.7500 0.8750
Nd 0.0000 0.2500 0.8750
Nd 0.0000 0.7500 0.1250
Nd 0.5000 0.2500 0.6250
Nd 0.5000 0.7500 0.3750
Se 0.0000 0.2500 0.1250
Se 0.0000 0.2500 0.6250
Se 0.0000 0.7500 0.3750
Se 0.0000 0.7500 0.8750
Se 0.5000 0.2500 0.3750
Se 0.5000 0.2500 0.8750
Se 0.5000 0.7500 0.1250
Se 0.5000 0.7500 0.6250

The 10 most intense peaks (15 to 90 degrees two-theta), low angle first:
| d/Å | intensity |
| --- | --- |
| 5.263 | 84 |
| 3.273 | 27 |
| 2.955 | 51 |
| 2.939 | 100 |
| 2.566 | 28 |
| 2.084 | 75 |
| 2.078 | 37 |
| 1.700 | 39 |
| 1.315 | 33 |
| 1.201 | 25 |

---

No. 8
Computed powder diffractogram of LiNdSe2 for Cu Kα (λ = 1.5418 Å), from a crystal structure in the Materials Project, relaxed with PBE.
Lines closer than 0.1° are merged.

Crystal structure
Cell lengths 4.2141, 4.2141, 5.7511 Å; angles 90.00, 90.00, 90.00 degrees
Fractional coordinates of all 4 atoms:
Li 0.0000 0.0000 0.0000
Nd 0.5000 0.5000 0.5000
Se 0.0000 0.0000 0.5000
Se 0.5000 0.5000 0.0000

The 10 most intense peaks (15 to 90 degrees two-theta), low angle first:
| d/Å | intensity |
| --- | --- |
| 5.751 | 50 |
| 4.214 | 48 |
| 2.980 | 100 |
| 2.876 | 45 |
| 2.646 | 29 |
| 2.375 | 22 |
| 2.107 | 37 |
| 2.069 | 70 |
| 1.700 | 38 |
| 1.209 | 24 |

---

No. 9
Computed powder diffractogram of Li2Nd2Si3 for Cu Kα (λ = 1.5418 Å), from a crystal structure in the Materials Project, relaxed with PBE.
Lines closer than 0.1° are merged.

Crystal structure
Cell lengths 9.5148, 9.5148, 6.8281 Å; angles 90.00, 90.00, 153.22 degrees
Fractional coordinates of all 14 atoms:
Li 0.1885 0.8115 0.5607
Li 0.1885 0.8115 0.9393
Li 0.8115 0.1885 0.0607
Li 0.8115 0.1885 0.4393
Nd 0.3420 0.6580 0.7500
Nd 0.4475 0.5525 0.2500
Nd 0.5525 0.4475 0.7500
Nd 0.6580 0.3420 0.2500
Si 0.0581 0.9419 0.0746
Si 0.0581 0.9419 0.4254
Si 0.2803 0.7197 0.2500
Si 0.7197 0.2803 0.7500
Si 0.9419 0.0581 0.5746
Si 0.9419 0.0581 0.9254

The 10 most intense peaks (15 to 90 degrees two-theta), low angle first:
| d/Å | intensity |
| --- | --- |
| 4.287 | 43 |
| 3.831 | 48 |
| 3.414 | 36 |
| 2.812 | 20 |
| 2.671 | 65 |
| 2.618 | 100 |
| 2.203 | 21 |
| 2.043 | 20 |
| 1.851 | 20 |
| 1.775 | 17 |

---

No. 10
Computed powder diffractogram of LiNdSn for Cu Kα (λ = 1.5418 Å), from a crystal structure in the Materials Project, relaxed with PBE.
Lines closer than 0.1° are merged.

Crystal structure
Cell lengths 6.7396, 6.7396, 6.7396 Å; angles 90.00, 90.00, 90.00 degrees
Fractional coordinates of all 12 atoms:
Li 0.0000 0.0000 0.0000
Li 0.0000 0.5000 0.5000
Li 0.5000 0.0000 0.5000
Li 0.5000 0.5000 0.0000
Nd 0.2500 0.2500 0.7500
Nd 0.2500 0.7500 0.2500
Nd 0.7500 0.2500 0.2500
Nd 0.7500 0.7500 0.7500
Sn 0.2500 0.2500 0.2500
Sn 0.2500 0.7500 0.7500
Sn 0.7500 0.2500 0.7500
Sn 0.7500 0.7500 0.2500

The 10 most intense peaks (15 to 90 degrees two-theta), low angle first:
| d/Å | intensity |
| --- | --- |
| 3.891 | 2 |
| 3.370 | 100 |
| 2.383 | 85 |
| 2.032 | 1 |
| 1.946 | 29 |
| 1.685 | 15 |
| 1.507 | 39 |
| 1.376 | 31 |
| 1.191 | 10 |
| 1.123 | 20 |

---

No. 11
Computed powder diffractogram of LiNdSn2 for Cu Kα (λ = 1.5418 Å), from a crystal structure in the Materials Project, relaxed with PBE.
Lines closer than 0.1° are merged.

Crystal structure
Cell lengths 4.5102, 19.1694, 4.5541 Å; angles 90.00, 90.00, 90.00 degrees
Fractional coordinates of all 16 atoms:
Li 0.0000 0.1758 0.2500
Li 0.0000 0.8242 0.7500
Li 0.5000 0.3242 0.7500
Li 0.5000 0.6758 0.2500
Nd 0.0000 0.3936 0.2500
Nd 0.0000 0.6064 0.7500
Nd 0.5000 0.1064 0.7500
Nd 0.5000 0.8936 0.2500
Sn 0.0000 0.0439 0.2500
Sn 0.0000 0.2495 0.7500
Sn 0.0000 0.7505 0.2500
Sn 0.0000 0.9561 0.7500
Sn 0.5000 0.2505 0.2500
Sn 0.5000 0.4561 0.7500
Sn 0.5000 0.5439 0.2500
Sn 0.5000 0.7495 0.7500

The 10 most intense peaks (15 to 90 degrees two-theta), low angle first:
| d/Å | intensity |
| --- | --- |
| 3.685 | 15 |
| 3.195 | 14 |
| 2.921 | 13 |
| 2.865 | 100 |
| 2.615 | 18 |
| 2.277 | 18 |
| 2.255 | 17 |
| 1.602 | 12 |
| 1.404 | 12 |
| 1.393 | 11 |

---

No. 12
Computed powder diffractogram of LiNdSn for Cu Kα (λ = 1.5418 Å), from a crystal structure in the Materials Project, relaxed with PBE.
Lines closer than 0.1° are merged.

Crystal structure
Cell lengths 9.5534, 9.5534, 7.6804 Å; angles 90.00, 90.00, 120.00 degrees
Fractional coordinates of all 24 atoms:
Li 0.1665 0.3331 0.0000
Li 0.1665 0.8335 0.0000
Li 0.3331 0.1665 0.5000
Li 0.3333 0.6667 0.3725
Li 0.6667 0.3333 0.8725
Li 0.6669 0.8335 0.0000
Li 0.8335 0.1665 0.5000
Li 0.8335 0.6669 0.5000
Nd 0.0000 0.0000 0.2146
Nd 0.0000 0.0000 0.7146
Nd 0.0260 0.5130 0.7072
Nd 0.4870 0.5130 0.7072
Nd 0.4870 0.9740 0.7072
Nd 0.5130 0.0260 0.2072
Nd 0.5130 0.4870 0.2072
Nd 0.9740 0.4870 0.2072
Sn 0.1673 0.3346 0.4404
Sn 0.1673 0.8327 0.4404
Sn 0.3333 0.6667 0.9812
Sn 0.3346 0.1673 0.9404
Sn 0.6654 0.8327 0.4404
Sn 0.6667 0.3333 0.4812
Sn 0.8327 0.1673 0.9404
Sn 0.8327 0.6654 0.9404

The 10 most intense peaks (15 to 90 degrees two-theta), low angle first:
| d/Å | intensity |
| --- | --- |
| 4.137 | 20 |
| 3.642 | 47 |
| 2.814 | 100 |
| 2.388 | 53 |
| 2.177 | 11 |
| 1.997 | 9 |
| 1.821 | 26 |
| 1.496 | 22 |
| 1.448 | 23 |
| 1.379 | 10 |